Record 1
Diffraction record for Li7Fe3W2O16. The PXRD pattern is theoretical, not measured: it uses a cell relaxed with PBE+U and λ = 1.5418 Å (Cu Kα).

Most intense lines, 15° ≤ 2θ ≤ 90°, in order of falling intensity:
2theta, I_rel, index
19.5, 100, 2 0 -1
19.8, 51, 1 1 1
17.4, 30, 2 0 0
30.3, 24, 0 2 0
32.9, 19, 1 1 3
35.6, 18, 0 2 2

```
data_Li7Fe3W2O16
_space_group_name_H-M_alt 'C 1 m 1'
_space_group_IT_number 8
_cell_length_a 10.214
_cell_length_b 5.891
_cell_length_c 9.718
_cell_angle_alpha 90.00
_cell_angle_beta 91.23
_cell_angle_gamma 90.00
loop_
_space_group_symop_operation_xyz
'x,y,z'
'x,-y,z'
'x+1/2,y+1/2,z'
'x+1/2,-y+1/2,z'
loop_
_atom_site_label
_atom_site_fract_x
_atom_site_fract_y
_atom_site_fract_z
Li1 0.000 0.000 0.000
Li2 0.000 0.000 0.491
Li3 0.169 0.500 0.412
Li4 0.323 0.000 0.914
Li5 0.330 0.500 0.719
Li6 0.419 0.242 0.220
Fe1 0.086 0.251 0.719
Fe2 0.171 0.000 0.224
W1 0.163 0.500 0.997
W2 0.348 0.000 0.485
O1 0.009 0.000 0.807
O2 0.011 0.500 0.850
O3 0.015 0.000 0.303
O4 0.089 0.256 0.095
O5 0.154 0.500 0.621
O6 0.170 0.000 0.603
O7 0.226 0.273 0.850
O8 0.254 0.218 0.363
O9 0.315 0.000 0.122
O10 0.328 0.500 0.073
O11 0.420 0.243 0.599
O12 0.486 0.000 0.367
```

Record 2
Diffraction record for Li4Y3FeO8. The PXRD pattern is theoretical, not measured: it uses a cell relaxed with PBE+U and λ = 1.5418 Å (Cu Kα).

Most intense lines, 15° ≤ 2θ ≤ 90°, in order of falling intensity:
2theta, I_rel, index
22.1, 100, 1 1 1
41.3, 38, 2 0 2
34.0, 30, 2 2 0
35.6, 27, 0 4 0
55.6, 26, 2 4 2
47.3, 24, 3 1 1

```
data_Li4Y3FeO8
_space_group_name_H-M_alt 'C 2 2 2'
_space_group_IT_number 21
_cell_length_a 6.183
_cell_length_b 10.081
_cell_length_c 6.195
_cell_angle_alpha 90.00
_cell_angle_beta 90.00
_cell_angle_gamma 90.00
loop_
_space_group_symop_operation_xyz
'x,y,z'
'-x,-y,z'
'x,-y,-z'
'-x,y,-z'
'x+1/2,y+1/2,z'
'-x+1/2,-y+1/2,z'
'x+1/2,-y+1/2,-z'
'-x+1/2,y+1/2,-z'
loop_
_atom_site_label
_atom_site_fract_x
_atom_site_fract_y
_atom_site_fract_z
Li1 0.000 0.000 0.000
Li2 0.000 0.500 0.500
Li3 0.250 0.250 0.247
Y1 0.000 0.500 0.000
Y2 0.250 0.250 0.742
Fe1 0.000 0.000 0.500
O1 0.000 0.208 0.500
O2 0.000 0.276 0.000
O3 0.242 0.017 0.738
```

Record 3
Diffraction record for LiZnFe10O16. The PXRD pattern is theoretical, not measured: it uses a cell relaxed with PBE+U and λ = 1.5418 Å (Cu Kα).

Most intense lines, 15° ≤ 2θ ≤ 90°, in order of falling intensity:
2theta, I_rel, index
35.1, 100, 1 1 6
42.7, 44, 2 0 8
56.5, 38, 2 1 10
35.2, 38, 1 0 10
18.2, 37, 0 0 6
61.9, 34, 2 2 0

```
data_LiZnFe10O16
_space_group_name_H-M_alt 'R 3 m'
_space_group_IT_number 160
_space_group_name_Hall 'R 3 -2"'
_cell_length_a 5.9937
_cell_length_b 5.9937
_cell_length_c 29.2364
_cell_angle_alpha 90.00
_cell_angle_beta 90.00
_cell_angle_gamma 120.00
loop_
_atom_site_label
_atom_site_fract_x
_atom_site_fract_y
_atom_site_fract_z
Li1 0.0000 0.0000 0.0000
Zn1 0.0000 0.0000 0.8140
Fe1 0.0000 0.0000 0.1248
Fe2 0.0000 0.0000 0.3138
Fe3 0.0000 0.0000 0.5036
Fe4 0.0000 0.0000 0.6231
Fe5 0.0004 0.5002 0.5631
Fe6 0.0038 0.5019 0.0618
O1 0.0000 0.0000 0.1919
O2 0.0000 0.0000 0.4361
O3 0.0000 0.0000 0.6904
O4 0.0000 0.0000 0.9284
O5 0.0157 0.5079 0.4351
O6 0.0214 0.5107 0.9353
O7 0.1743 0.3487 0.5252
O8 0.1814 0.3629 0.0229
```

Record 4
Diffraction record for LiZnFe7O12. The PXRD pattern is theoretical, not measured: it uses a cell relaxed with PBE+U and λ = 1.5418 Å (Cu Kα).

Most intense lines, 15° ≤ 2θ ≤ 90°, in order of falling intensity:
2theta, I_rel, index
35.6, 100, 3 1 -3
18.4, 60, 2 0 -1
36.0, 50, 3 1 3
43.3, 48, 2 2 -4
35.7, 35, 1 1 -5
63.2, 32, 6 2 0

```
data_LiZnFe7O12
_space_group_name_H-M_alt 'C 1 m 1'
_space_group_IT_number 8
_cell_length_a 10.170
_cell_length_b 5.918
_cell_length_c 14.368
_cell_angle_alpha 90.00
_cell_angle_beta 90.70
_cell_angle_gamma 90.00
loop_
_space_group_symop_operation_xyz
'x,y,z'
'x,-y,z'
'x+1/2,y+1/2,z'
'x+1/2,-y+1/2,z'
loop_
_atom_site_label
_atom_site_fract_x
_atom_site_fract_y
_atom_site_fract_z
Li1 0.000 0.000 0.000
Li2 0.169 0.500 0.334
Zn1 0.169 0.500 0.710
Zn2 0.333 0.500 0.539
Fe1 0.002 0.500 0.879
Fe2 0.004 0.000 0.370
Fe3 0.004 0.000 0.753
Fe4 0.084 0.252 0.540
Fe5 0.163 0.000 0.209
Fe6 0.163 0.500 0.085
Fe7 0.253 0.247 0.880
Fe8 0.332 0.000 0.043
Fe9 0.332 0.000 0.667
Fe10 0.338 0.000 0.416
Fe11 0.417 0.254 0.209
O1 0.001 0.000 0.140
O2 0.005 0.500 0.615
O3 0.008 0.000 0.616
O4 0.078 0.222 0.285
O5 0.092 0.258 0.801
O6 0.157 0.000 0.460
O7 0.157 0.500 0.472
O8 0.168 0.500 0.948
O9 0.185 0.000 0.953
O10 0.240 0.254 0.621
O11 0.254 0.222 0.132
O12 0.329 0.500 0.804
O13 0.332 0.000 0.282
O14 0.339 0.000 0.804
O15 0.353 0.500 0.286
O16 0.404 0.226 0.961
O17 0.433 0.264 0.453
O18 0.481 0.000 0.135
```